[1]
Diffraction record for DyHoAgOs. The powder diffractogram is computed, not measured: it uses a DFT-relaxed cell (PBE, Alexandria) and CuKα.

Most intense lines, 2θ from 10° to 90°, most intense first:
- 35.46°, rel. 100.0, (1 0 2)
- 37.40°, rel. 46.2, (1 1 0)
- 66.22°, rel. 32.4, (2 1 2)
- 11.67°, rel. 16.5, (0 0 1)
- 53.93°, rel. 16.1, (2 0 0)
- 62.37°, rel. 15.3, (1 1 4)

Structure:
Lattice parameters (Å, degrees): 3.400 3.400 7.583 90.00 90.00 90.00
Space group P4mm (No. 99)
Symmetry-distinct sites (fractional):
Dy 0.000 0.000 0.000 [1 per cell]
Ho 0.000 0.000 0.559 [1 per cell]
Ag 0.500 0.500 0.282 [1 per cell]
Os 0.500 0.500 0.778 [1 per cell]

=====

[2]
Diffraction record for DyTlAg2I6. The powder diffractogram is computed, not measured: it uses a DFT-relaxed cell (PBE, Alexandria) and CuKα.

Most intense lines, 2θ from 10° to 90°, most intense first:
- 24.90°, rel. 100.0, (1 1 3)
- 19.73°, rel. 64.4, (1 0 4)
- 38.85°, rel. 63.1, (3 0 0)
- 31.85°, rel. 42.7, (2 -1 6)
- 37.45°, rel. 32.0, (3 -1 4)
- 29.82°, rel. 26.9, (0 2 4)

Structure:
Lattice parameters (Å, degrees): 8.0308 8.0308 23.6015 90.00 90.00 120.00
Space group R-3 (No. 148, hexagonal axes)
Symmetry-distinct sites (fractional):
Dy 0.0000 0.0000 0.0000 [3 per cell]
Tl 0.0000 0.0000 0.5000 [3 per cell]
Ag 0.0000 0.0000 0.2687 [6 per cell]
I 0.0039 0.6949 0.9241 [18 per cell]

=====

[3]
Diffraction record for Dy2In2Ag. The powder diffractogram is computed, not measured: it uses a DFT-relaxed cell (PBE, Alexandria) and CuKα.

Most intense lines, 2θ from 10° to 90°, most intense first:
- 32.46°, rel. 100.0, (1 1 1)
- 35.34°, rel. 86.7, (0 1 5)
- 35.10°, rel. 54.6, (1 0 4)
- 64.91°, rel. 46.8, (2 1 5)
- 38.02°, rel. 39.3, (0 2 0)
- 52.71°, rel. 33.9, (1 2 4)

Structure:
Lattice parameters (Å, degrees): 3.485 4.733 15.048 90.00 90.00 90.00
Space group Amm2 (No. 38)
Symmetry-distinct sites (fractional):
Dy 0.000 0.000 0.000 [2 per cell]
Dy 0.000 0.000 0.229 [2 per cell]
In 0.500 0.000 0.612 [2 per cell]
In 0.500 0.000 0.817 [2 per cell]
Ag 0.500 0.000 0.417 [2 per cell]

=====

[4]
Diffraction record for LaDy2In2Ag2. The powder diffractogram is computed, not measured: it uses a DFT-relaxed cell (PBE, Alexandria) and CuKα.

Most intense lines, 2θ from 10° to 90°, most intense first:
- 36.65°, rel. 100.0, (1 1 0)
- 31.21°, rel. 69.7, (1 0 7)
- 33.78°, rel. 57.2, (0 1 8)
- 48.89°, rel. 19.7, (0 2 7)
- 63.88°, rel. 19.6, (1 1 15)
- 62.62°, rel. 18.5, (2 1 7)

Structure:
Lattice parameters (Å, degrees): 4.9038 4.9038 27.1815 90.00 90.00 120.00
Space group R-3m (No. 166, hexagonal axes)
Symmetry-distinct sites (fractional):
La 0.0000 0.0000 0.0000 [3 per cell]
Dy 0.0000 0.0000 0.1282 [6 per cell]
In 0.0000 0.0000 0.2559 [6 per cell]
Ag 0.0000 0.0000 0.4113 [6 per cell]

=====

[5]
Diffraction record for PmDyInAg. The powder diffractogram is computed, not measured: it uses a DFT-relaxed cell (PBE, Alexandria) and CuKα.

Most intense lines, 2θ from 10° to 90°, most intense first:
- 33.48°, rel. 100.0, (1 0 2)
- 34.63°, rel. 47.0, (1 1 0)
- 61.33°, rel. 34.1, (2 1 2)
- 59.09°, rel. 17.5, (1 1 4)
- 49.79°, rel. 16.6, (2 0 0)
- 70.34°, rel. 10.3, (2 0 4)

Structure:
Lattice parameters (Å, degrees): 3.663 3.663 7.843 90.00 90.00 90.00
Space group P4mm (No. 99)
Symmetry-distinct sites (fractional):
Pm 0.000 0.000 0.000 [1 per cell]
Dy 0.000 0.000 0.526 [1 per cell]
In 0.500 0.500 0.269 [1 per cell]
Ag 0.500 0.500 0.742 [1 per cell]

=====

[6]
Diffraction record for Dy3InAg3Te8. The powder diffractogram is computed, not measured: it uses a DFT-relaxed cell (PBE, Alexandria) and CuKα.

Most intense lines, 2θ from 10° to 90°, most intense first:
- 29.13°, rel. 100.0, (4 0 0)
- 41.47°, rel. 38.0, (2 2 2)
- 41.87°, rel. 37.1, (6 2 -2)
- 51.48°, rel. 20.1, (4 4 0)
- 68.16°, rel. 16.9, (6 2 2)
- 68.69°, rel. 11.1, (8 4 -4)

Structure:
Lattice parameters (Å, degrees): 14.896 8.710 8.640 90.00 124.69 90.00
Space group C2/m (No. 12)
Symmetry-distinct sites (fractional):
Dy 0.000 0.000 0.000 [2 per cell]
Dy 0.250 0.250 0.500 [4 per cell]
In 0.000 0.500 0.000 [2 per cell]
Ag 0.000 0.500 0.500 [2 per cell]
Ag 0.250 0.250 0.000 [4 per cell]
Te 0.003 0.256 0.753 [8 per cell]
Te 0.247 0.500 0.242 [4 per cell]
Te 0.249 0.500 0.750 [4 per cell]

=====

[7]
Diffraction record for DyIn2AgTe4. The powder diffractogram is computed, not measured: it uses a DFT-relaxed cell (PBE, Alexandria) and CuKα.

Most intense lines, 2θ from 10° to 90°, most intense first:
- 28.61°, rel. 100.0, (1 1 1)
- 28.47°, rel. 50.7, (2 0 -2)
- 40.50°, rel. 38.5, (1 1 -3)
- 41.10°, rel. 37.5, (3 1 -1)
- 51.14°, rel. 19.6, (2 2 -2)
- 40.25°, rel. 19.6, (2 0 2)

Structure:
Lattice parameters (Å, degrees): 7.635 4.346 7.782 90.00 108.91 90.00
Space group P2/m (No. 10)
Symmetry-distinct sites (fractional):
Dy 0.000 0.000 0.000 [1 per cell]
In 0.000 0.500 0.500 [1 per cell]
In 0.500 0.000 0.500 [1 per cell]
Ag 0.500 0.500 0.000 [1 per cell]
Te 0.244 0.500 0.238 [2 per cell]
Te 0.251 0.000 0.758 [2 per cell]

=====

[8]
Diffraction record for Dy2YIn2Ag2. The powder diffractogram is computed, not measured: it uses a DFT-relaxed cell (PBE, Alexandria) and CuKα.

Most intense lines, 2θ from 10° to 90°, most intense first:
- 37.17°, rel. 100.0, (1 1 0)
- 34.31°, rel. 83.6, (0 1 8)
- 31.69°, rel. 45.7, (1 0 7)
- 64.96°, rel. 27.9, (1 1 15)
- 51.48°, rel. 26.0, (2 0 8)
- 65.19°, rel. 25.1, (1 2 8)

Structure:
Lattice parameters (Å, degrees): 4.8372 4.8372 26.7580 90.00 90.00 120.00
Space group R-3m (No. 166, hexagonal axes)
Symmetry-distinct sites (fractional):
Dy 0.0000 0.0000 0.1263 [6 per cell]
Y 0.0000 0.0000 0.0000 [3 per cell]
In 0.0000 0.0000 0.2599 [6 per cell]
Ag 0.0000 0.0000 0.3974 [6 per cell]

=====

[9]
Diffraction record for Dy12Ag6Ir. The powder diffractogram is computed, not measured: it uses a DFT-relaxed cell (PBE, Alexandria) and CuKα.

Most intense lines, 2θ from 10° to 90°, most intense first:
- 33.06°, rel. 100.0, (4 -1 2)
- 36.76°, rel. 42.8, (3 -1 4)
- 22.75°, rel. 41.4, (3 -1 1)
- 30.58°, rel. 37.1, (1 0 4)
- 37.75°, rel. 34.7, (4 1 0)
- 38.89°, rel. 30.6, (2 3 2)

Structure:
Lattice parameters (Å, degrees): 12.6109 12.6109 12.1360 90.00 90.00 120.00
Space group R-3 (No. 148, hexagonal axes)
Symmetry-distinct sites (fractional):
Dy 0.0286 0.8367 0.3887 [18 per cell]
Dy 0.0584 0.8662 0.8693 [18 per cell]
Ag 0.0454 0.7584 0.6347 [18 per cell]
Ir 0.0000 0.0000 0.0000 [3 per cell]

=====

[10]
Diffraction record for SrDyAgIr. The powder diffractogram is computed, not measured: it uses a DFT-relaxed cell (PBE, Alexandria) and CuKα.

Most intense lines, 2θ from 10° to 90°, most intense first:
- 35.22°, rel. 100.0, (2 2 0)
- 63.20°, rel. 36.2, (4 2 2)
- 50.66°, rel. 17.7, (4 0 0)
- 85.13°, rel. 16.1, (6 2 0)
- 74.46°, rel. 11.2, (4 4 0)
- 21.35°, rel. 8.2, (1 1 1)

Structure:
Lattice parameters (Å, degrees): 7.208 7.208 7.208 90.00 90.00 90.00
Space group F-43m (No. 216)
Symmetry-distinct sites (fractional):
Sr 0.000 0.000 0.000 [4 per cell]
Dy 0.000 0.000 0.500 [4 per cell]
Ag 0.250 0.250 0.250 [4 per cell]
Ir 0.250 0.250 0.750 [4 per cell]

=====

[11]
Diffraction record for KDy2AgTe4. The powder diffractogram is computed, not measured: it uses a DFT-relaxed cell (PBE, Alexandria) and CuKα.

Most intense lines, 2θ from 10° to 90°, most intense first:
- 29.17°, rel. 100.0, (1 3 2)
- 40.16°, rel. 85.7, (1 5 3)
- 13.09°, rel. 64.5, (0 2 1)
- 27.45°, rel. 49.7, (1 3 1)
- 25.48°, rel. 40.2, (0 2 4)
- 40.57°, rel. 35.1, (2 0 0)

Structure:
Lattice parameters (Å, degrees): 4.447 14.971 15.813 90.00 90.00 90.00
Space group Cmcm (No. 63)
Symmetry-distinct sites (fractional):
K 0.000 0.126 0.250 [4 per cell]
Dy 0.000 0.369 0.070 [8 per cell]
Ag 0.000 0.160 0.750 [4 per cell]
Te 0.000 0.000 0.000 [4 per cell]
Te 0.000 0.268 0.605 [8 per cell]
Te 0.000 0.452 0.250 [4 per cell]

=====

[12]
Diffraction record for LaDyAg3. The powder diffractogram is computed, not measured: it uses a DFT-relaxed cell (PBE, Alexandria) and CuKα.

Most intense lines, 2θ from 10° to 90°, most intense first:
- 32.16°, rel. 100.0, (1 3 1)
- 36.90°, rel. 63.4, (0 10 1)
- 33.11°, rel. 45.9, (1 7 0)
- 37.19°, rel. 40.0, (0 0 2)
- 63.90°, rel. 29.1, (2 0 2)
- 50.64°, rel. 27.4, (1 7 2)

Structure:
Lattice parameters (Å, degrees): 3.651 28.204 4.835 90.00 90.00 90.00
Space group Cmcm (No. 63)
Symmetry-distinct sites (fractional):
La 0.000 0.076 0.250 [4 per cell]
Dy 0.000 0.210 0.750 [4 per cell]
Ag 0.000 0.320 0.750 [4 per cell]
Ag 0.000 0.377 0.250 [4 per cell]
Ag 0.000 0.476 0.250 [4 per cell]